1.
Diffraction record for Li8InPb2. The XRD peak list is theoretical, not measured: it uses a DFT-relaxed cell (PBE, Alexandria) and λ = 1.5418 Å (Cu Kα).
Lines closer than 0.1° are merged.

Top 6 peaks for 10 to 80 degrees two-theta, low angle first:
2θ/deg	I/Imax
14.21	33
22.56	100
24.23	36
24.57	32
28.67	45
37.49	35

Structural model:
a = 7.4612 Å, b = 7.4612 Å, c = 7.2521 Å
α = 116.76°, β = 116.76°, γ = 36.68°
Sites, in units of the cell vectors:
Li: 0.0253 0.0253 0.2278
Li: 0.1480 0.1480 0.6966
Li: 0.3305 0.3305 0.6105
Li: 0.3966 0.3966 0.0568
Li: 0.6034 0.6034 0.9432
Li: 0.6695 0.6695 0.3895
Li: 0.8520 0.8520 0.3034
Li: 0.9747 0.9747 0.7722
In: 0.5000 0.5000 0.5000
Pb: 0.2124 0.2124 0.1630
Pb: 0.7876 0.7876 0.8370

---

2.
Diffraction record for Sn. The XRD peak list is theoretical, not measured: it uses a DFT-relaxed cell (PBE, Alexandria) and λ = 1.5418 Å (Cu Kα).
Lines closer than 0.1° are merged.

Top 6 peaks for 10 to 80 degrees two-theta, low angle first:
2θ/deg	I/Imax
29.04	42
31.69	100
43.52	85
56.45	20
64.72	27
69.64	22

Structural model:
a = 3.2604 Å, b = 3.2604 Å, c = 3.0746 Å
α = 90.00°, β = 90.00°, γ = 120.00°
Sites, in units of the cell vectors:
Sn: 0.0000 0.0000 0.0000